# Sm4C2Br2F3
Simulated PXRD pattern, Cu Kα (weighted mean of Kα1 and Kα2). Input: a DFT-relaxed cell (GGA-PBE, OQMD).
No peak broadening, texture or thermal motion is included.

Atomic structure:
a = 17.434 Å, b = 3.715 Å, c = 6.719 Å
α = 90.00°, β = 100.71°, γ = 90.00°
Space group C2/m (No. 12)
Unique sites:
Sm  0.012  0.000  0.266 [4 per cell]
Sm  0.170  0.500  0.643 [4 per cell]
C  0.041  0.500  0.535 [4 per cell]
Br  0.154  0.000  0.973 [4 per cell]
F  0.000  0.500  0.000 [2 per cell]
F  0.194  0.000  0.448 [4 per cell]

Top 10 peaks for 10° ≤ 2θ ≤ 90°, by angle:
| 2theta | I/Imax |
| --- | --- |
| 27.57 | 64 |
| 28.67 | 56 |
| 30.78 | 41 |
| 30.98 | 54 |
| 31.33 | 100 |
| 33.03 | 46 |
| 36.05 | 68 |
| 37.65 | 69 |
| 41.85 | 51 |
| 44.32 | 52 |



# DyHoAl4Ni2
Simulated PXRD pattern, Cu Kα (weighted mean of Kα1 and Kα2). Input: a DFT-relaxed cell (GGA-PBE, OQMD).
No peak broadening, texture or thermal motion is included.

Atomic structure:
a = 6.860 Å, b = 4.046 Å, c = 10.145 Å
α = 90.00°, β = 90.00°, γ = 90.00°
Space group Amm2 (No. 38)
Unique sites:
Dy  0.000  0.000  0.000 [2 per cell]
Ho  0.500  0.000  0.123 [2 per cell]
Al  0.195  0.000  0.718 [4 per cell]
Al  0.305  0.000  0.405 [4 per cell]
Ni  0.000  0.000  0.277 [2 per cell]
Ni  0.500  0.000  0.846 [2 per cell]

Top 10 peaks for 10° ≤ 2θ ≤ 90°, by angle:
| 2theta | I/Imax |
| --- | --- |
| 21.79 | 21 |
| 23.67 | 67 |
| 25.98 | 52 |
| 35.43 | 95 |
| 37.04 | 100 |
| 37.82 | 57 |
| 44.80 | 28 |
| 53.41 | 42 |
| 60.03 | 29 |
| 78.91 | 19 |



# Cu7Ag
Simulated PXRD pattern, Cu Kα (weighted mean of Kα1 and Kα2). Input: a DFT-relaxed cell (GGA-PBE, OQMD).
No peak broadening, texture or thermal motion is included.

Atomic structure:
a = 2.652 Å, b = 3.535 Å, c = 10.714 Å
α = 90.00°, β = 90.00°, γ = 90.00°
Space group Pmmm (No. 47)
Unique sites:
Cu  0.000  0.000  0.000 [1 per cell]
Cu  0.000  0.000  0.238 [2 per cell]
Cu  0.500  0.500  0.118 [2 per cell]
Cu  0.500  0.500  0.355 [2 per cell]
Ag  0.000  0.000  0.500 [1 per cell]

Top 10 peaks for 10° ≤ 2θ ≤ 90°, by angle:
| 2theta | I/Imax |
| --- | --- |
| 35.74 | 6 |
| 42.34 | 94 |
| 42.62 | 100 |
| 48.30 | 62 |
| 51.72 | 27 |
| 70.29 | 7 |
| 71.10 | 10 |
| 73.46 | 32 |
| 85.81 | 16 |
| 86.39 | 21 |



# Nb3TlSn5
Simulated PXRD pattern, Cu Kα (weighted mean of Kα1 and Kα2). Input: a DFT-relaxed cell (GGA-PBE, OQMD).
No peak broadening, texture or thermal motion is included.

Atomic structure:
a = 5.8220 Å, b = 5.8220 Å, c = 7.5572 Å
α = 90.00°, β = 90.00°, γ = 120.00°
Space group P6/mmm (No. 191)
Unique sites:
Nb  0.0000  0.5000  0.0000 [3 per cell]
Tl  0.0000  0.0000  0.5000 [1 per cell]
Sn  0.0000  0.0000  0.0000 [1 per cell]
Sn  0.3333  0.6667  0.3103 [4 per cell]

Top 10 peaks for 10° ≤ 2θ ≤ 90°, by angle:
| 2theta | I/Imax |
| --- | --- |
| 29.54 | 70 |
| 30.71 | 100 |
| 32.97 | 41 |
| 35.63 | 37 |
| 37.61 | 21 |
| 40.01 | 30 |
| 43.14 | 97 |
| 53.88 | 28 |
| 54.61 | 21 |
| 63.97 | 30 |



# AcOsO3
Simulated PXRD pattern, Cu Kα (weighted mean of Kα1 and Kα2). Input: a DFT-relaxed cell (GGA-PBE, OQMD).
No peak broadening, texture or thermal motion is included.

Atomic structure:
a = 5.8352 Å, b = 5.8352 Å, c = 13.2709 Å
α = 90.00°, β = 90.00°, γ = 120.00°
Space group R-3c (No. 167, hexagonal axes)
Unique sites:
Ac  0.0000  0.0000  0.2500 [6 per cell]
Os  0.0000  0.0000  0.0000 [6 per cell]
O  0.0000  0.4221  0.2500 [18 per cell]

Top 10 peaks for 10° ≤ 2θ ≤ 90°, by angle:
| 2theta | I/Imax |
| --- | --- |
| 30.64 | 100 |
| 32.28 | 91 |
| 45.10 | 46 |
| 54.47 | 24 |
| 55.51 | 42 |
| 58.57 | 17 |
| 63.80 | 15 |
| 67.55 | 14 |
| 73.33 | 18 |
| 75.98 | 17 |



# ErHICl
Simulated PXRD pattern, Cu Kα (weighted mean of Kα1 and Kα2). Input: a DFT-relaxed cell (GGA-PBE, OQMD).
No peak broadening, texture or thermal motion is included.

Atomic structure:
a = 3.8319 Å, b = 3.8319 Å, c = 14.9695 Å
α = 90.00°, β = 90.00°, γ = 120.00°
Space group P6_3mc (No. 186)
Unique sites:
Er  0.0000  0.0000  0.0000 [2 per cell]
H  0.3333  0.6667  0.0037 [2 per cell]
I  0.3333  0.6667  0.6438 [2 per cell]
Cl  0.3333  0.6667  0.3877 [2 per cell]

Top 10 peaks for 10° ≤ 2θ ≤ 90°, by angle:
| 2theta | I/Imax |
| --- | --- |
| 11.82 | 100 |
| 27.53 | 38 |
| 29.44 | 85 |
| 32.40 | 28 |
| 36.18 | 86 |
| 47.45 | 37 |
| 49.08 | 18 |
| 60.97 | 19 |
| 61.09 | 19 |
| 70.32 | 18 |



# RbTlIr
Simulated PXRD pattern, Cu Kα (weighted mean of Kα1 and Kα2). Input: a DFT-relaxed cell (GGA-PBE, OQMD).
No peak broadening, texture or thermal motion is included.

Atomic structure:
a = 7.049 Å, b = 7.049 Å, c = 7.049 Å
α = 90.00°, β = 90.00°, γ = 90.00°
Space group F-43m (No. 216)
Unique sites:
Rb  0.000  0.000  0.000 [4 per cell]
Tl  0.000  0.000  0.500 [4 per cell]
Ir  0.250  0.250  0.250 [4 per cell]

Top 10 peaks for 10° ≤ 2θ ≤ 90°, by angle:
| 2theta | I/Imax |
| --- | --- |
| 21.84 | 50 |
| 36.04 | 100 |
| 42.53 | 27 |
| 51.88 | 18 |
| 56.94 | 12 |
| 64.79 | 37 |
| 69.26 | 9 |
| 76.44 | 12 |
| 80.63 | 9 |
| 87.53 | 17 |



# LaTmGa4Ir2
Simulated PXRD pattern, Cu Kα (weighted mean of Kα1 and Kα2). Input: a DFT-relaxed cell (GGA-PBE, OQMD).
No peak broadening, texture or thermal motion is included.

Atomic structure:
a = 4.213 Å, b = 7.285 Å, c = 5.498 Å
α = 90.00°, β = 111.97°, γ = 90.00°
Space group Pm (No. 6)
Unique sites:
La  0.000  0.000  0.000 [1 per cell]
Tm  0.863  0.500  0.723 [1 per cell]
Ga  0.286  0.205  0.565 [2 per cell]
Ga  0.581  0.309  0.164 [2 per cell]
Ir  0.143  0.500  0.290 [1 per cell]
Ir  0.727  0.000  0.442 [1 per cell]

Top 10 peaks for 10° ≤ 2θ ≤ 90°, by angle:
| 2theta | I/Imax |
| --- | --- |
| 17.39 | 40 |
| 24.44 | 68 |
| 33.64 | 82 |
| 33.75 | 72 |
| 35.97 | 92 |
| 36.28 | 93 |
| 37.37 | 100 |
| 42.94 | 73 |
| 43.94 | 55 |
| 50.06 | 49 |